(1)
# Mg2Cd
Theoretical powder diffraction line list, Cu Kα (λ = 1.5418 Å). Input: a structure optimized by DFT (PBE).
Intensities are scaled so that the largest is 100.

Structural model:
```
data_Mg2Cd
_cell_length_a 4.5263
_cell_length_b 4.5263
_cell_length_c 25.7419
_cell_angle_alpha 90.00
_cell_angle_beta 90.00
_cell_angle_gamma 90.00
_symmetry_space_group_name_H-M 'I 41/a m d'
_symmetry_Int_Tables_number 141
loop_
_symmetry_equiv_pos_as_xyz
'x,y,z'
'-x,-y,-z'
'-y+1/4,x+3/4,z+1/4'
'y+1/4,-x+3/4,-z+1/4'
'-x+1/2,-y,z+1/2'
'x+1/2,y,-z+1/2'
'y+1/4,-x+1/4,z+3/4'
'-y+1/4,x+1/4,-z+3/4'
'x,-y,-z'
'-x,y,z'
'-y+1/4,-x+1/4,-z+3/4'
'y+1/4,x+1/4,z+3/4'
'-x+1/2,y,-z+1/2'
'x+1/2,-y,z+1/2'
'y+1/4,x+3/4,-z+1/4'
'-y+1/4,-x+3/4,z+1/4'
'x+1/2,y+1/2,z+1/2'
'-x+1/2,-y+1/2,-z+1/2'
'-y+3/4,x+1/4,z+3/4'
'y+3/4,-x+1/4,-z+3/4'
'-x,-y+1/2,z'
'x,y+1/2,-z'
'y+3/4,-x+3/4,z+1/4'
'-y+3/4,x+3/4,-z+1/4'
'x+1/2,-y+1/2,-z+1/2'
'-x+1/2,y+1/2,z+1/2'
'-y+3/4,-x+3/4,-z+1/4'
'y+3/4,x+3/4,z+1/4'
'-x,y+1/2,-z'
'x,-y+1/2,z'
'y+3/4,x+1/4,-z+3/4'
'-y+3/4,-x+1/4,z+3/4'
loop_
_atom_site_label
_atom_site_type_symbol
_atom_site_fract_x
_atom_site_fract_y
_atom_site_fract_z
Mg1 Mg 0.0000 0.2500 0.1244
Mg2 Mg 0.0000 0.2500 0.7909
Cd1 Cd 0.0000 0.2500 0.2929
```

Largest 10 diffraction maxima, sorted by position, 2θ from 10° to 90°:
hkl 0 0 4, 13.76 deg, I 15
hkl 1 0 1, 19.92 deg, I 44
hkl 1 0 5, 26.22 deg, I 22
hkl 1 1 2, 28.74 deg, I 13
hkl 1 0 7, 31.34 deg, I 16
hkl 1 1 6, 34.98 deg, I 100
hkl 2 0 0, 39.83 deg, I 35
hkl 0 0 12, 42.12 deg, I 15
hkl 2 0 12, 59.36 deg, I 20
hkl 3 1 6, 69.19 deg, I 25

(2)
# Ho7ErTh3
Theoretical powder diffraction line list, Cu Kα (λ = 1.5418 Å). Input: a structure optimized by DFT (PBE).
Intensities are scaled so that the largest is 100.

Structural model:
```
data_Ho7ErTh3
_cell_length_a 6.8839
_cell_length_b 5.4851
_cell_length_c 10.0705
_cell_angle_alpha 90.00
_cell_angle_beta 109.70
_cell_angle_gamma 90.00
_symmetry_space_group_name_H-M 'P 1 2/m 1'
_symmetry_Int_Tables_number 10
_symmetry_space_group_name_Hall '-P 2y'
loop_
_atom_site_label
_atom_site_type_symbol
_atom_site_fract_x
_atom_site_fract_y
_atom_site_fract_z
Ho1 Ho 0.0000 0.0000 0.0000
Ho2 Ho 0.1391 0.5000 0.2925
Ho3 Ho 0.3258 0.5000 0.6379
Ho4 Ho 0.4155 0.0000 0.8289
Er1 Er 0.5000 0.0000 0.5000
Th1 Th 0.0000 0.0000 0.5000
Th2 Th 0.2767 0.5000 0.9987
```

Largest 10 diffraction maxima, sorted by position, 2θ from 10° to 90°:
hkl 0 0 2, 18.71 deg, I 13
hkl 1 1 2, 31.48 deg, I 31
hkl 2 1 -2, 32.11 deg, I 100
hkl 2 0 -3, 32.22 deg, I 13
hkl 0 2 0, 32.68 deg, I 85
hkl 2 2 1, 46.41 deg, I 15
hkl 2 1 4, 57.90 deg, I 19
hkl 2 1 -6, 58.13 deg, I 11
hkl 0 3 3, 58.34 deg, I 13
hkl 4 2 -2, 63.86 deg, I 10

(3)
# PuZn4Au4
Theoretical powder diffraction line list, Cu Kα (λ = 1.5418 Å). Input: a structure optimized by DFT (PBE).
Intensities are scaled so that the largest is 100.

Structural model:
```
data_PuZn4Au4
_cell_length_a 8.4692
_cell_length_b 8.4692
_cell_length_c 4.8089
_cell_angle_alpha 90.00
_cell_angle_beta 90.00
_cell_angle_gamma 90.00
_symmetry_space_group_name_H-M 'I 4/m'
_symmetry_Int_Tables_number 87
_symmetry_space_group_name_Hall '-I 4'
loop_
_atom_site_label
_atom_site_type_symbol
_atom_site_fract_x
_atom_site_fract_y
_atom_site_fract_z
Pu1 Pu 0.0000 0.0000 0.0000
Zn1 Zn 0.1149 0.2239 0.5000
Au1 Au 0.0841 0.3514 0.0000
```

Largest 10 diffraction maxima, sorted by position, 2θ from 10° to 90°:
hkl 1 0 1, 21.25 deg, I 23
hkl 1 2 1, 30.03 deg, I 66
hkl 1 3 0, 33.46 deg, I 79
hkl 3 0 1, 36.92 deg, I 76
hkl 0 0 2, 37.40 deg, I 56
hkl 3 2 1, 42.85 deg, I 100
hkl 1 3 2, 51.05 deg, I 49
hkl 1 6 1, 70.40 deg, I 27
hkl 3 2 3, 71.22 deg, I 22
hkl 4 5 1, 74.39 deg, I 25